[1]
Calculated X-ray powder pattern
Compound: Sm2Dy2Se3S2
Radiation: Cu Kα
Structure: DFT lattice parameters and positions (PBE)

Most intense lines, 10° ≤ 2θ ≤ 90°, by intensity:
two_theta, d_spacing, I/Imax
31.9, 2.805, 100.0
40.9, 2.207, 55.2
24.9, 3.576, 50.8
25.7, 3.469, 41.8
45.7, 1.984, 36.4
35.2, 2.548, 32.1
52.8, 1.734, 26.4
48.2, 1.886, 25.8
75.8, 1.254, 16.2
33.7, 2.656, 15.5

Cell and atoms:
```
data_Sm2Dy2Se3S2
_cell_length_a 5.610
_cell_length_b 5.610
_cell_length_c 14.302
_cell_angle_alpha 90.00
_cell_angle_beta 90.00
_cell_angle_gamma 90.00
_symmetry_space_group_name_H-M 'I 4/m m m'
_symmetry_Int_Tables_number 139
_symmetry_space_group_name_Hall '-I 4 2'
loop_
_atom_site_label
_atom_site_fract_x
_atom_site_fract_y
_atom_site_fract_z
_atom_site_occupancy
Sm1 0.000 0.000 0.212 1
Dy1 0.000 0.500 0.000 1
Se1 0.000 0.000 0.000 1
Se2 0.000 0.500 0.250 1
S1 0.000 0.000 0.402 1
```


[2]
Calculated X-ray powder pattern
Compound: ScSnPt4
Radiation: Cu Kα
Structure: DFT lattice parameters and positions (PBE)

Most intense lines, 10° ≤ 2θ ≤ 90°, by intensity:
two_theta, d_spacing, I/Imax
37.9, 2.375, 100.0
43.0, 2.104, 70.4
38.6, 2.334, 48.2
38.8, 2.321, 47.1
47.4, 1.918, 26.8
65.7, 1.420, 20.2
66.0, 1.415, 20.0
25.2, 3.534, 17.9
74.9, 1.267, 14.6
74.8, 1.269, 13.9

Cell and atoms:
```
data_ScSnPt4
_cell_length_a 4.813
_cell_length_b 9.074
_cell_length_c 4.840
_cell_angle_alpha 90.00
_cell_angle_beta 105.29
_cell_angle_gamma 90.00
_symmetry_space_group_name_H-M 'C 1 2/m 1'
_symmetry_Int_Tables_number 12
_symmetry_space_group_name_Hall '-C 2y'
loop_
_atom_site_label
_atom_site_fract_x
_atom_site_fract_y
_atom_site_fract_z
_atom_site_occupancy
Sc1 0.000 0.000 0.000 1
Sn1 0.000 0.500 0.500 1
Pt1 0.000 0.161 0.500 1
Pt2 0.000 0.337 0.000 1
```


[3]
Calculated X-ray powder pattern
Compound: LaY6Ho
Radiation: Cu Kα
Structure: DFT lattice parameters and positions (PBE)

Most intense lines, 10° ≤ 2θ ≤ 90°, by intensity:
two_theta, d_spacing, I/Imax
32.0, 2.796, 100.0
32.7, 2.738, 67.5
27.8, 3.208, 48.4
33.5, 2.675, 44.4
57.5, 1.604, 25.6
50.9, 1.795, 24.5
20.7, 4.282, 24.1
46.4, 1.957, 21.8
29.6, 3.021, 19.8
58.8, 1.570, 19.0

Cell and atoms:
```
data_LaY6Ho
_cell_length_a 9.6872
_cell_length_b 9.6872
_cell_length_c 9.9576
_cell_angle_alpha 90.00
_cell_angle_beta 90.00
_cell_angle_gamma 120.00
_symmetry_space_group_name_H-M 'R -3'
_symmetry_Int_Tables_number 148
_symmetry_space_group_name_Hall '-R 3'
loop_
_atom_site_label
_atom_site_fract_x
_atom_site_fract_y
_atom_site_fract_z
_atom_site_occupancy
La1 0.0000 0.0000 0.0000 1
Y1 0.0013 0.7080 0.2520 1
Ho1 0.0000 0.0000 0.5000 1
```


[4]
Calculated X-ray powder pattern
Compound: Ta14NbSn
Radiation: Cu Kα
Structure: DFT lattice parameters and positions (PBE)

Most intense lines, 10° ≤ 2θ ≤ 90°, by intensity:
two_theta, d_spacing, I/Imax
38.3, 2.352, 100.0
69.2, 1.358, 21.2
38.0, 2.366, 20.4
68.9, 1.363, 14.4
55.1, 1.668, 14.1
81.9, 1.176, 11.2
69.3, 1.355, 7.0
55.4, 1.659, 6.8
81.3, 1.183, 2.4
21.0, 4.227, 0.6

Cell and atoms:
```
data_Ta14NbSn
_cell_length_a 6.634
_cell_length_b 9.464
_cell_length_c 9.406
_cell_angle_alpha 90.00
_cell_angle_beta 90.00
_cell_angle_gamma 90.00
_symmetry_space_group_name_H-M 'C m m m'
_symmetry_Int_Tables_number 65
_symmetry_space_group_name_Hall '-C 2 2'
loop_
_atom_site_label
_atom_site_fract_x
_atom_site_fract_y
_atom_site_fract_z
_atom_site_occupancy
Ta1 0.000 0.000 0.000 1
Ta2 0.000 0.247 0.249 1
Ta3 0.000 0.500 0.000 1
Ta4 0.240 0.500 0.245 1
Ta5 0.250 0.250 0.000 1
Ta6 0.250 0.250 0.500 1
Nb1 0.000 0.500 0.500 1
Sn1 0.000 0.000 0.500 1
```


[5]
Calculated X-ray powder pattern
Compound: NdTl4I7
Radiation: Cu Kα
Structure: DFT lattice parameters and positions (PBE)

Most intense lines, 10° ≤ 2θ ≤ 90°, by intensity:
two_theta, d_spacing, I/Imax
29.6, 3.021, 100.0
26.2, 3.399, 77.5
27.7, 3.221, 41.5
23.4, 3.806, 41.2
30.9, 2.890, 35.9
24.9, 3.570, 26.2
38.0, 2.367, 24.7
23.7, 3.761, 24.1
21.9, 4.056, 22.5
33.0, 2.712, 21.1

Cell and atoms:
```
data_NdTl4I7
_cell_length_a 23.144
_cell_length_b 6.046
_cell_length_c 8.514
_cell_angle_alpha 90.00
_cell_angle_beta 107.14
_cell_angle_gamma 90.00
_symmetry_space_group_name_H-M 'C 1 2/m 1'
_symmetry_Int_Tables_number 12
_symmetry_space_group_name_Hall '-C 2y'
loop_
_atom_site_label
_atom_site_fract_x
_atom_site_fract_y
_atom_site_fract_z
_atom_site_occupancy
Nd1 0.000 0.000 0.000 1
Tl1 0.085 0.500 0.646 1
Tl2 0.191 0.500 0.268 1
I1 0.000 0.500 0.000 1
I2 0.081 0.000 0.365 1
I3 0.117 0.000 0.889 1
I4 0.227 0.500 0.676 1
```


[6]
Calculated X-ray powder pattern
Compound: Cs2ZrTc2
Radiation: Cu Kα
Structure: DFT lattice parameters and positions (PBE)

Most intense lines, 10° ≤ 2θ ≤ 90°, by intensity:
two_theta, d_spacing, I/Imax
37.2, 2.420, 100.0
30.7, 2.911, 75.3
35.2, 2.553, 24.6
35.8, 2.508, 23.7
27.4, 3.255, 19.6
51.0, 1.789, 17.2
62.6, 1.484, 16.0
59.8, 1.546, 16.0
43.4, 2.086, 14.8
70.8, 1.330, 13.1

Cell and atoms:
```
data_Cs2ZrTc2
_cell_length_a 9.205
_cell_length_b 9.205
_cell_length_c 2.991
_cell_angle_alpha 90.00
_cell_angle_beta 90.00
_cell_angle_gamma 90.00
_symmetry_space_group_name_H-M 'P 4/m b m'
_symmetry_Int_Tables_number 127
_symmetry_space_group_name_Hall '-P 4 2ab'
loop_
_atom_site_label
_atom_site_fract_x
_atom_site_fract_y
_atom_site_fract_z
_atom_site_occupancy
Cs1 0.131 0.369 0.000 1
Zr1 0.000 0.000 0.000 1
Tc1 0.185 0.685 0.500 1
```


[7]
Calculated X-ray powder pattern
Compound: Li2EuIr
Radiation: Cu Kα
Structure: DFT lattice parameters and positions (PBE)

Most intense lines, 10° ≤ 2θ ≤ 90°, by intensity:
two_theta, d_spacing, I/Imax
27.4, 3.258, 100.0
39.1, 2.304, 88.5
63.9, 1.457, 37.4
70.9, 1.330, 31.2
48.4, 1.881, 28.5
56.5, 1.629, 15.2
84.0, 1.152, 10.0
23.7, 3.762, 2.2
46.2, 1.964, 1.2
62.1, 1.495, 0.5

Cell and atoms:
```
data_Li2EuIr
_cell_length_a 6.515
_cell_length_b 6.515
_cell_length_c 6.515
_cell_angle_alpha 90.00
_cell_angle_beta 90.00
_cell_angle_gamma 90.00
_symmetry_space_group_name_H-M 'F m -3 m'
_symmetry_Int_Tables_number 225
_symmetry_space_group_name_Hall '-F 4 2 3'
loop_
_atom_site_label
_atom_site_fract_x
_atom_site_fract_y
_atom_site_fract_z
_atom_site_occupancy
Li1 0.250 0.250 0.250 1
Eu1 0.000 0.000 0.000 1
Ir1 0.000 0.000 0.500 1
```


[8]
Calculated X-ray powder pattern
Compound: Er5Al6
Radiation: Cu Kα
Structure: DFT lattice parameters and positions (PBE)

Most intense lines, 10° ≤ 2θ ≤ 90°, by intensity:
two_theta, d_spacing, I/Imax
36.5, 2.463, 100.0
25.4, 3.500, 49.9
25.7, 3.469, 28.4
32.9, 2.726, 24.8
36.0, 2.493, 24.6
14.1, 6.277, 16.5
65.1, 1.433, 16.5
44.8, 2.024, 13.1
59.5, 1.554, 12.6
52.3, 1.750, 12.1

Cell and atoms:
```
data_Er5Al6
_cell_length_a 4.985
_cell_length_b 6.937
_cell_length_c 14.747
_cell_angle_alpha 90.00
_cell_angle_beta 90.00
_cell_angle_gamma 90.00
_symmetry_space_group_name_H-M 'I m m m'
_symmetry_Int_Tables_number 71
_symmetry_space_group_name_Hall '-I 2 2'
loop_
_atom_site_label
_atom_site_fract_x
_atom_site_fract_y
_atom_site_fract_z
_atom_site_occupancy
Er1 0.000 0.000 0.000 1
Er2 0.000 0.000 0.311 1
Er3 0.000 0.500 0.342 1
Al1 0.000 0.197 0.500 1
Al2 0.000 0.290 0.146 1
```


[9]
Calculated X-ray powder pattern
Compound: RbTl3Cl8
Radiation: Cu Kα
Structure: DFT lattice parameters and positions (PBE)

Most intense lines, 10° ≤ 2θ ≤ 90°, by intensity:
two_theta, d_spacing, I/Imax
15.8, 5.614, 100.0
22.7, 3.920, 56.8
22.1, 4.021, 40.5
31.9, 2.807, 32.6
36.1, 2.485, 27.4
39.5, 2.282, 21.2
35.4, 2.536, 18.1
46.3, 1.960, 16.7
38.4, 2.342, 16.0
39.8, 2.263, 13.3

Cell and atoms:
```
data_RbTl3Cl8
_cell_length_a 7.8404
_cell_length_b 7.8404
_cell_length_c 9.9792
_cell_angle_alpha 90.00
_cell_angle_beta 90.00
_cell_angle_gamma 120.00
_symmetry_space_group_name_H-M 'P -3 m 1'
_symmetry_Int_Tables_number 164
_symmetry_space_group_name_Hall '-P 3 2"'
loop_
_atom_site_label
_atom_site_fract_x
_atom_site_fract_y
_atom_site_fract_z
_atom_site_occupancy
Rb1 0.0000 0.0000 0.0000 1
Tl1 0.0000 0.0000 0.5000 1
Tl2 0.3333 0.6667 0.8148 1
Cl1 0.1611 0.3221 0.7307 1
Cl2 0.3333 0.6667 0.0590 1
```


[10]
Calculated X-ray powder pattern
Compound: CsK6Hg4
Radiation: Cu Kα
Structure: DFT lattice parameters and positions (PBE)

Most intense lines, 10° ≤ 2θ ≤ 90°, by intensity:
two_theta, d_spacing, I/Imax
30.3, 2.950, 100.0
29.9, 2.993, 73.3
11.8, 7.496, 60.5
13.3, 6.645, 56.7
19.2, 4.617, 32.8
22.9, 3.882, 32.6
39.0, 2.308, 25.9
13.8, 6.418, 25.3
40.6, 2.224, 23.0
46.0, 1.971, 18.3

Cell and atoms:
```
data_CsK6Hg4
_cell_length_a 12.838
_cell_length_b 12.836
_cell_length_c 9.235
_cell_angle_alpha 90.00
_cell_angle_beta 133.99
_cell_angle_gamma 90.00
_symmetry_space_group_name_H-M 'C 1 m 1'
_symmetry_Int_Tables_number 8
_symmetry_space_group_name_Hall 'C -2y'
loop_
_atom_site_label
_atom_site_fract_x
_atom_site_fract_y
_atom_site_fract_z
_atom_site_occupancy
Cs1 0.000 0.000 0.000 1
K1 0.101 0.000 0.571 1
K2 0.216 0.314 0.431 1
K3 0.251 0.250 0.001 1
K4 0.472 0.000 0.571 1
Hg1 0.216 0.500 0.119 1
Hg2 0.405 0.000 0.120 1
Hg3 0.442 0.157 0.883 1
```


[11]
Calculated X-ray powder pattern
Compound: KRb2SnF
Radiation: Cu Kα
Structure: DFT lattice parameters and positions (PBE)

Most intense lines, 10° ≤ 2θ ≤ 90°, by intensity:
two_theta, d_spacing, I/Imax
27.3, 3.272, 100.0
31.2, 2.870, 45.0
53.1, 1.725, 31.1
45.6, 1.991, 30.5
32.4, 2.764, 20.3
44.6, 2.030, 16.2
56.2, 1.636, 16.1
22.3, 3.982, 16.0
54.7, 1.678, 14.2
73.2, 1.293, 12.2

Cell and atoms:
```
data_KRb2SnF
_cell_length_a 5.740
_cell_length_b 5.740
_cell_length_c 5.529
_cell_angle_alpha 90.00
_cell_angle_beta 90.00
_cell_angle_gamma 90.00
_symmetry_space_group_name_H-M 'P 4/m m m'
_symmetry_Int_Tables_number 123
_symmetry_space_group_name_Hall '-P 4 2'
loop_
_atom_site_label
_atom_site_fract_x
_atom_site_fract_y
_atom_site_fract_z
_atom_site_occupancy
K1 0.000 0.000 0.000 1
Rb1 0.000 0.500 0.500 1
Sn1 0.500 0.500 0.000 1
F1 0.000 0.000 0.500 1
```


[12]
Calculated X-ray powder pattern
Compound: Na2SrCd
Radiation: Cu Kα
Structure: DFT lattice parameters and positions (PBE)

Most intense lines, 10° ≤ 2θ ≤ 90°, by intensity:
two_theta, d_spacing, I/Imax
27.0, 3.308, 100.0
14.0, 6.313, 62.3
33.7, 2.658, 55.5
39.8, 2.263, 49.7
28.3, 3.157, 32.4
44.6, 2.033, 25.0
60.9, 1.522, 19.0
58.0, 1.589, 15.9
64.7, 1.440, 15.7
61.6, 1.506, 12.8

Cell and atoms:
```
data_Na2SrCd
_cell_length_a 4.847
_cell_length_b 4.847
_cell_length_c 25.253
_cell_angle_alpha 90.00
_cell_angle_beta 90.00
_cell_angle_gamma 90.00
_symmetry_space_group_name_H-M 'I -4 2 d'
_symmetry_Int_Tables_number 122
_symmetry_space_group_name_Hall 'I -4 2bw'
loop_
_atom_site_label
_atom_site_fract_x
_atom_site_fract_y
_atom_site_fract_z
_atom_site_occupancy
Na1 0.213 0.250 0.125 1
Sr1 0.000 0.000 0.500 1
Cd1 0.000 0.000 0.000 1
```


[13]
Calculated X-ray powder pattern
Compound: TbYAs2Rh5
Radiation: Cu Kα
Structure: DFT lattice parameters and positions (PBE)

Most intense lines, 10° ≤ 2θ ≤ 90°, by intensity:
two_theta, d_spacing, I/Imax
36.3, 2.477, 100.0
42.7, 2.118, 52.1
43.2, 2.096, 24.5
74.0, 1.282, 24.1
62.0, 1.498, 17.0
71.6, 1.318, 15.9
10.0, 8.803, 15.3
60.7, 1.526, 15.1
41.0, 2.201, 12.2
29.3, 3.052, 11.4

Cell and atoms:
```
data_TbYAs2Rh5
_cell_length_a 4.237
_cell_length_b 4.237
_cell_length_c 8.803
_cell_angle_alpha 90.00
_cell_angle_beta 90.00
_cell_angle_gamma 90.00
_symmetry_space_group_name_H-M 'P 4/m m m'
_symmetry_Int_Tables_number 123
_symmetry_space_group_name_Hall '-P 4 2'
loop_
_atom_site_label
_atom_site_fract_x
_atom_site_fract_y
_atom_site_fract_z
_atom_site_occupancy
Tb1 0.000 0.000 0.000 1
Y1 0.000 0.000 0.500 1
As1 0.500 0.500 0.353 1
Rh1 0.000 0.500 0.232 1
Rh2 0.500 0.500 0.000 1
```


[14]
Calculated X-ray powder pattern
Compound: Np2SnAs4
Radiation: Cu Kα
Structure: DFT lattice parameters and positions (PBE)

Most intense lines, 10° ≤ 2θ ≤ 90°, by intensity:
two_theta, d_spacing, I/Imax
36.5, 2.463, 100.0
24.2, 3.685, 42.9
46.2, 1.963, 30.1
40.9, 2.206, 27.7
28.2, 3.162, 26.2
79.2, 1.209, 21.9
33.6, 2.667, 18.8
16.6, 5.334, 18.2
56.8, 1.620, 15.8
58.4, 1.581, 15.7

Cell and atoms:
```
data_Np2SnAs4
_cell_length_a 3.927
_cell_length_b 3.927
_cell_length_c 10.668
_cell_angle_alpha 90.00
_cell_angle_beta 90.00
_cell_angle_gamma 90.00
_symmetry_space_group_name_H-M 'P -4 m 2'
_symmetry_Int_Tables_number 115
_symmetry_space_group_name_Hall 'P -4 -2'
loop_
_atom_site_label
_atom_site_fract_x
_atom_site_fract_y
_atom_site_fract_z
_atom_site_occupancy
Np1 0.000 0.500 0.214 1
Sn1 0.000 0.000 0.500 1
As1 0.000 0.000 0.000 1
As2 0.000 0.500 0.709 1
As3 0.500 0.500 0.000 1
```